For Eu2Se3, a structure optimized by DFT (PBE) gives the calculated powder diffraction line list in this record (Cu Kα X-rays).

Principal peaks in the range 5° ≤ 2θ ≤ 70°, sorted by position:
Position (°2θ), intensity
13.12, 52
21.52, 17
29.48, 100
29.81, 50
41.94, 18
42.41, 91
52.30, 20
52.69, 18

Crystal structure
abc: 14.1255 13.4963 7.3822
angles: 79.26 69.84 30.90
Positions (direct):
Eu 0.0390 0.0390 0.2110
Eu 0.1303 0.1303 0.6197
Eu 0.2110 0.2110 0.0390
Eu 0.3803 0.3803 0.8697
Eu 0.6197 0.6197 0.1303
Eu 0.7890 0.7890 0.9610
Eu 0.8697 0.8697 0.3803
Eu 0.9610 0.9610 0.7890
Se 0.0549 0.5369 0.1823
Se 0.1036 0.6464 0.6464
Se 0.1823 0.7259 0.0549
Se 0.2741 0.8177 0.4631
Se 0.3536 0.8964 0.8964
Se 0.4631 0.9451 0.2741
Se 0.5369 0.0549 0.7259
Se 0.6464 0.1036 0.1036
Se 0.7259 0.1823 0.5369
Se 0.8177 0.2741 0.9451
Se 0.8964 0.3536 0.3536
Se 0.9451 0.4631 0.8177

For SrEu4Se5, a structure optimized by DFT (PBE) gives the calculated powder diffraction line list in this record (Cu Kα X-rays).

Principal peaks in the range 5° ≤ 2θ ≤ 70°, sorted by position:
Position (°2θ), intensity
24.98, 14
28.93, 100
41.37, 76
51.24, 14
51.28, 13
59.93, 13
67.88, 17
67.92, 17

Crystal structure
abc: 7.5620 7.5620 10.6978
angles: 118.12 118.12 33.53
Positions (direct):
Sr 0.0000 0.0000 0.0000
Eu 0.2005 0.2005 0.7991
Eu 0.4004 0.4004 0.5996
Eu 0.5996 0.5996 0.4004
Eu 0.7995 0.7995 0.2009
Se 0.0000 0.0000 0.5000
Se 0.2012 0.2012 0.3030
Se 0.3978 0.3978 0.1020
Se 0.6022 0.6022 0.8980
Se 0.7988 0.7988 0.6970

For Eu2Zr5Se10, a structure optimized by DFT (PBE) gives the calculated powder diffraction line list in this record (Cu Kα X-rays).

Principal peaks in the range 5° ≤ 2θ ≤ 70°, sorted by position:
Position (°2θ), intensity
11.82, 41
29.73, 58
29.83, 71
36.40, 92
36.48, 100
36.59, 23
48.00, 27
48.22, 57

Crystal structure
abc: 6.5287 8.3673 10.0210
angles: 70.30 71.04 67.28
Positions (direct):
Eu 0.1115 0.4991 0.2804
Eu 0.8885 0.5009 0.7196
Zr 0.0938 0.0026 0.7965
Zr 0.2989 0.9970 0.4019
Zr 0.5000 0.0000 0.0000
Zr 0.7011 0.0030 0.5981
Zr 0.9062 0.9974 0.2035
Se 0.0799 0.2171 0.9611
Se 0.1240 0.7779 0.6438
Se 0.2738 0.2297 0.5535
Se 0.3293 0.7763 0.2445
Se 0.4887 0.2142 0.1553
Se 0.5113 0.7858 0.8447
Se 0.6707 0.2237 0.7555
Se 0.7262 0.7703 0.4465
Se 0.8760 0.2221 0.3562
Se 0.9201 0.7829 0.0389